[1]
Diffraction record for Cs2Ge7Au12. The powder diffraction line list is simulated, not measured: it uses the PBE geometry in Alexandria and Cu Kα X-rays.
Kinematic intensities with the Lorentz-polarization factor, no thermal factor.

Largest 10 diffraction maxima, sorted by position, 2θ from 5° to 70°:
| d/Å | two_theta | I (rel.) |
| --- | --- | --- |
| 5.897 | 15.02 | 100.0 |
| 3.276 | 27.22 | 75.6 |
| 3.086 | 28.93 | 96.2 |
| 2.861 | 31.27 | 63.1 |
| 2.445 | 36.76 | 58.8 |
| 2.286 | 39.42 | 70.3 |
| 2.272 | 39.67 | 41.9 |
| 2.193 | 41.16 | 39.9 |
| 2.187 | 41.28 | 43.7 |
| 2.004 | 45.24 | 49.2 |

abc: 6.823 9.180 9.572
angles: 62.94 87.65 74.65
Element x y z (fractional)
Cs 0.184 0.359 0.327
Cs 0.816 0.641 0.673
Ge 0.133 0.961 0.316
Ge 0.218 0.721 0.912
Ge 0.364 0.336 0.715
Ge 0.500 0.000 0.000
Ge 0.636 0.664 0.285
Ge 0.782 0.279 0.088
Ge 0.867 0.039 0.684
Au 0.162 0.199 0.035
Au 0.187 0.101 0.768
Au 0.219 0.880 0.611
Au 0.238 0.800 0.140
Au 0.345 0.643 0.490
Au 0.407 0.434 0.921
Au 0.593 0.566 0.079
Au 0.655 0.357 0.510
Au 0.762 0.200 0.860
Au 0.781 0.120 0.389
Au 0.813 0.899 0.232
Au 0.838 0.801 0.965

---

[2]
Diffraction record for CsGe3Au2. The powder diffraction line list is simulated, not measured: it uses the PBE geometry in Alexandria and Cu Kα X-rays.
Kinematic intensities with the Lorentz-polarization factor, no thermal factor.

Largest 10 diffraction maxima, sorted by position, 2θ from 5° to 70°:
| d/Å | two_theta | I (rel.) |
| --- | --- | --- |
| 5.227 | 16.96 | 74.4 |
| 3.316 | 26.89 | 33.0 |
| 3.268 | 27.29 | 45.2 |
| 3.131 | 28.51 | 28.3 |
| 2.944 | 30.36 | 100.0 |
| 2.725 | 32.87 | 46.0 |
| 2.170 | 41.63 | 43.0 |
| 2.107 | 42.92 | 39.7 |
| 1.907 | 47.68 | 27.2 |
| 1.878 | 48.48 | 28.0 |

abc: 6.680 7.119 6.778
angles: 90.00 101.95 90.00
Element x y z (fractional)
Cs 0.204 0.250 0.289
Cs 0.796 0.750 0.711
Ge 0.018 0.750 0.262
Ge 0.280 0.750 0.590
Ge 0.339 0.750 0.067
Ge 0.661 0.250 0.933
Ge 0.720 0.250 0.410
Ge 0.982 0.250 0.738
Au 0.310 0.043 0.820
Au 0.310 0.457 0.820
Au 0.690 0.543 0.180
Au 0.690 0.957 0.180

---

[3]
Diffraction record for CsGe2SbAu4. The powder diffraction line list is simulated, not measured: it uses the PBE geometry in Alexandria and Cu Kα X-rays.
Kinematic intensities with the Lorentz-polarization factor, no thermal factor.

Largest 10 diffraction maxima, sorted by position, 2θ from 5° to 70°:
| d/Å | two_theta | I (rel.) |
| --- | --- | --- |
| 10.492 | 8.43 | 100.0 |
| 3.497 | 25.47 | 39.9 |
| 3.426 | 26.01 | 47.6 |
| 3.059 | 29.19 | 43.7 |
| 2.731 | 32.80 | 55.9 |
| 2.360 | 38.13 | 95.5 |
| 2.261 | 39.86 | 75.6 |
| 2.028 | 44.68 | 30.6 |
| 1.899 | 47.90 | 30.2 |
| 1.599 | 57.64 | 25.8 |

abc: 4.523 4.523 10.492
angles: 90.00 90.00 90.00
Element x y z (fractional)
Cs 0.000 0.000 0.000
Ge 0.500 0.500 0.207
Ge 0.500 0.500 0.793
Sb 0.000 0.000 0.500
Au 0.000 0.500 0.329
Au 0.000 0.500 0.671
Au 0.500 0.000 0.329
Au 0.500 0.000 0.671

---

[4]
Diffraction record for Cs2H5Au2. The powder diffraction line list is simulated, not measured: it uses the PBE geometry in Alexandria and Cu Kα X-rays.
Kinematic intensities with the Lorentz-polarization factor, no thermal factor.

Largest 10 diffraction maxima, sorted by position, 2θ from 5° to 70°:
| d/Å | two_theta | I (rel.) |
| --- | --- | --- |
| 3.136 | 28.47 | 100.0 |
| 2.783 | 32.16 | 18.3 |
| 2.729 | 32.82 | 17.1 |
| 2.640 | 33.95 | 16.1 |
| 1.948 | 46.61 | 13.2 |
| 1.916 | 47.46 | 12.3 |
| 1.667 | 55.10 | 16.0 |
| 1.643 | 55.95 | 14.8 |
| 1.604 | 57.44 | 14.1 |
| 1.568 | 58.91 | 13.0 |

abc: 11.258 11.258 11.258
angles: 151.37 40.51 151.94
Element x y z (fractional)
Cs 0.128 0.004 0.124
Cs 0.380 0.004 0.376
Cs 0.620 0.996 0.624
Cs 0.872 0.996 0.876
H 0.166 0.495 0.671
H 0.250 0.000 0.750
H 0.250 0.500 0.250
H 0.323 0.495 0.829
H 0.500 0.000 0.000
H 0.500 0.500 0.500
H 0.677 0.505 0.171
H 0.750 0.000 0.250
H 0.750 0.500 0.750
H 0.834 0.505 0.329
Au 0.000 0.500 0.500
Au 0.268 0.518 0.750
Au 0.500 0.500 0.000
Au 0.732 0.482 0.250

---

[5]
Diffraction record for Cs2H5Au. The powder diffraction line list is simulated, not measured: it uses the PBE geometry in Alexandria and Cu Kα X-rays.
Kinematic intensities with the Lorentz-polarization factor, no thermal factor.

Largest 10 diffraction maxima, sorted by position, 2θ from 5° to 70°:
| d/Å | two_theta | I (rel.) |
| --- | --- | --- |
| 5.188 | 17.09 | 60.3 |
| 3.210 | 27.79 | 100.0 |
| 3.113 | 28.67 | 45.9 |
| 2.795 | 32.03 | 13.2 |
| 2.670 | 33.57 | 22.8 |
| 2.202 | 41.00 | 18.0 |
| 2.080 | 43.52 | 11.2 |
| 1.873 | 48.60 | 21.0 |
| 1.816 | 50.25 | 38.7 |
| 1.605 | 57.40 | 13.1 |

abc: 6.227 6.227 9.382
angles: 90.00 90.00 90.00
Element x y z (fractional)
Cs 0.000 0.500 0.000
Cs 0.000 0.500 0.500
Cs 0.500 0.000 0.000
Cs 0.500 0.000 0.500
H 0.000 0.000 0.031
H 0.187 0.187 0.255
H 0.187 0.813 0.255
H 0.313 0.313 0.755
H 0.313 0.687 0.755
H 0.500 0.500 0.531
H 0.687 0.313 0.755
H 0.687 0.687 0.755
H 0.813 0.187 0.255
H 0.813 0.813 0.255
Au 0.000 0.000 0.239
Au 0.500 0.500 0.739

---

[6]
Diffraction record for Cs5H2Au2. The powder diffraction line list is simulated, not measured: it uses the PBE geometry in Alexandria and Cu Kα X-rays.
Kinematic intensities with the Lorentz-polarization factor, no thermal factor.

Largest 10 diffraction maxima, sorted by position, 2θ from 5° to 70°:
| d/Å | two_theta | I (rel.) |
| --- | --- | --- |
| 7.635 | 11.59 | 36.1 |
| 5.093 | 17.41 | 26.2 |
| 4.095 | 21.70 | 21.6 |
| 3.641 | 24.45 | 100.0 |
| 3.504 | 25.42 | 33.5 |
| 3.022 | 29.56 | 50.0 |
| 2.930 | 30.51 | 57.9 |
| 2.849 | 31.40 | 36.6 |
| 2.795 | 32.02 | 35.9 |
| 2.289 | 39.36 | 26.9 |

abc: 8.773 8.773 9.472
angles: 119.54 119.54 40.30
Element x y z (fractional)
Cs 0.000 0.000 0.000
Cs 0.136 0.136 0.515
Cs 0.353 0.353 0.101
Cs 0.647 0.647 0.899
Cs 0.864 0.864 0.485
H 0.123 0.123 0.825
H 0.877 0.877 0.175
Au 0.391 0.391 0.736
Au 0.609 0.609 0.264

---

[7]
Diffraction record for Cs6HAu3. The powder diffraction line list is simulated, not measured: it uses the PBE geometry in Alexandria and Cu Kα X-rays.
Kinematic intensities with the Lorentz-polarization factor, no thermal factor.

Largest 10 diffraction maxima, sorted by position, 2θ from 5° to 70°:
| d/Å | two_theta | I (rel.) |
| --- | --- | --- |
| 3.912 | 22.73 | 47.5 |
| 3.709 | 23.99 | 58.2 |
| 3.694 | 24.10 | 100.0 |
| 3.453 | 25.80 | 69.3 |
| 3.431 | 25.97 | 59.8 |
| 3.105 | 28.75 | 41.3 |
| 3.056 | 29.22 | 47.0 |
| 2.949 | 30.31 | 43.9 |
| 2.869 | 31.18 | 46.9 |
| 2.482 | 36.20 | 68.8 |

abc: 8.485 9.435 15.001
angles: 90.00 124.42 90.00
Element x y z (fractional)
Cs 0.089 0.193 0.430
Cs 0.089 0.307 0.930
Cs 0.245 0.670 0.436
Cs 0.245 0.830 0.936
Cs 0.373 0.049 0.233
Cs 0.373 0.451 0.733
Cs 0.627 0.549 0.267
Cs 0.627 0.951 0.767
Cs 0.755 0.170 0.064
Cs 0.755 0.330 0.564
Cs 0.911 0.693 0.070
Cs 0.911 0.807 0.570
H 0.000 0.000 0.000
H 0.000 0.500 0.500
Au 0.204 0.106 0.749
Au 0.204 0.394 0.249
Au 0.500 0.000 0.500
Au 0.500 0.500 0.000
Au 0.796 0.606 0.751
Au 0.796 0.894 0.251

---

[8]
Diffraction record for Cs6HAu2. The powder diffraction line list is simulated, not measured: it uses the PBE geometry in Alexandria and Cu Kα X-rays.
Kinematic intensities with the Lorentz-polarization factor, no thermal factor.

Largest 10 diffraction maxima, sorted by position, 2θ from 5° to 70°:
| d/Å | two_theta | I (rel.) |
| --- | --- | --- |
| 8.794 | 10.06 | 100.0 |
| 4.241 | 20.95 | 43.2 |
| 3.653 | 24.37 | 72.1 |
| 3.614 | 24.64 | 53.0 |
| 3.597 | 24.75 | 34.6 |
| 3.006 | 29.72 | 54.5 |
| 2.845 | 31.45 | 36.1 |
| 2.795 | 32.02 | 58.0 |
| 2.676 | 33.48 | 32.9 |
| 2.449 | 36.69 | 32.1 |

abc: 9.281 9.281 14.603
angles: 115.25 115.25 30.60
Element x y z (fractional)
Cs 0.001 0.001 0.210
Cs 0.183 0.183 0.115
Cs 0.342 0.342 0.451
Cs 0.658 0.658 0.549
Cs 0.817 0.817 0.885
Cs 0.999 0.999 0.790
H 0.000 0.000 0.000
Au 0.324 0.324 0.694
Au 0.676 0.676 0.306

---

[9]
Diffraction record for Cs6K2HAu. The powder diffraction line list is simulated, not measured: it uses the PBE geometry in Alexandria and Cu Kα X-rays.
Kinematic intensities with the Lorentz-polarization factor, no thermal factor.

Largest 10 diffraction maxima, sorted by position, 2θ from 5° to 70°:
| d/Å | two_theta | I (rel.) |
| --- | --- | --- |
| 7.082 | 12.50 | 61.5 |
| 4.271 | 20.80 | 24.8 |
| 4.089 | 21.74 | 75.4 |
| 3.541 | 25.15 | 100.0 |
| 3.249 | 27.45 | 22.1 |
| 3.167 | 28.18 | 36.7 |
| 2.504 | 35.87 | 77.0 |
| 2.135 | 42.33 | 35.2 |
| 2.044 | 44.31 | 27.6 |
| 1.446 | 64.46 | 25.7 |

abc: 10.017 10.008 10.021
angles: 60.02 59.93 60.05
Element x y z (fractional)
Cs 0.000 0.000 0.000
Cs 0.000 0.480 0.000
Cs 0.000 0.480 0.520
Cs 0.480 0.000 0.000
Cs 0.480 0.000 0.520
Cs 0.480 0.480 0.520
K 0.490 0.490 0.010
K 0.990 0.990 0.510
H 0.240 0.240 0.760
Au 0.739 0.739 0.261

---

[10]
Diffraction record for Cs3KH6Au2. The powder diffraction line list is simulated, not measured: it uses the PBE geometry in Alexandria and Cu Kα X-rays.
Kinematic intensities with the Lorentz-polarization factor, no thermal factor.

Largest 10 diffraction maxima, sorted by position, 2θ from 5° to 70°:
| d/Å | two_theta | I (rel.) |
| --- | --- | --- |
| 4.649 | 19.09 | 22.3 |
| 3.909 | 22.75 | 15.0 |
| 3.339 | 26.70 | 100.0 |
| 3.239 | 27.54 | 62.9 |
| 2.539 | 35.36 | 28.2 |
| 2.325 | 38.74 | 25.6 |
| 1.928 | 47.15 | 21.2 |
| 1.908 | 47.67 | 27.4 |
| 1.687 | 54.39 | 18.9 |
| 1.669 | 55.01 | 13.6 |

abc: 6.677 6.677 7.818
angles: 90.00 90.00 120.00
Element x y z (fractional)
Cs 0.000 0.000 0.000
Cs 0.333 0.667 0.717
Cs 0.667 0.333 0.283
K 0.000 0.000 0.500
H 0.183 0.365 0.275
H 0.183 0.817 0.275
H 0.365 0.183 0.725
H 0.635 0.817 0.275
H 0.817 0.183 0.725
H 0.817 0.635 0.725
Au 0.333 0.667 0.272
Au 0.667 0.333 0.728

---

[11]
Diffraction record for Cs2LiH6Au2. The powder diffraction line list is simulated, not measured: it uses the PBE geometry in Alexandria and Cu Kα X-rays.
Kinematic intensities with the Lorentz-polarization factor, no thermal factor.

Largest 10 diffraction maxima, sorted by position, 2θ from 5° to 70°:
| d/Å | two_theta | I (rel.) |
| --- | --- | --- |
| 4.874 | 18.20 | 58.8 |
| 4.398 | 20.19 | 100.0 |
| 3.296 | 27.06 | 57.3 |
| 3.093 | 28.87 | 54.3 |
| 3.041 | 29.37 | 86.4 |
| 2.968 | 30.11 | 73.8 |
| 2.718 | 32.95 | 40.8 |
| 2.433 | 36.94 | 35.4 |
| 2.096 | 43.15 | 78.8 |
| 2.042 | 44.37 | 32.9 |

abc: 7.183 7.183 7.482
angles: 121.30 121.30 44.48
Element x y z (fractional)
Cs 0.182 0.182 0.175
Cs 0.818 0.818 0.825
Li 0.000 0.000 0.500
H 0.180 0.791 0.685
H 0.209 0.820 0.315
H 0.390 0.390 0.775
H 0.610 0.610 0.225
H 0.791 0.180 0.685
H 0.820 0.209 0.315
Au 0.473 0.473 0.662
Au 0.527 0.527 0.338

---

[12]
Diffraction record for CsPHAu. The powder diffraction line list is simulated, not measured: it uses the PBE geometry in Alexandria and Cu Kα X-rays.
Kinematic intensities with the Lorentz-polarization factor, no thermal factor.

Largest 10 diffraction maxima, sorted by position, 2θ from 5° to 70°:
| d/Å | two_theta | I (rel.) |
| --- | --- | --- |
| 4.077 | 21.80 | 41.1 |
| 3.473 | 25.65 | 100.0 |
| 3.294 | 27.07 | 78.8 |
| 2.794 | 32.03 | 30.1 |
| 2.489 | 36.09 | 13.4 |
| 2.305 | 39.08 | 19.3 |
| 2.296 | 39.25 | 17.3 |
| 1.918 | 47.41 | 18.9 |
| 1.912 | 47.55 | 18.8 |
| 1.774 | 51.52 | 15.7 |

abc: 4.591 5.588 4.984
angles: 90.00 117.21 90.00
Element x y z (fractional)
Cs 0.000 0.000 0.000
P 0.274 0.500 0.554
H 0.436 0.500 0.881
Au 0.721 0.500 0.448

---

[13]
Diffraction record for Cs4RbHAu2. The powder diffraction line list is simulated, not measured: it uses the PBE geometry in Alexandria and Cu Kα X-rays.
Kinematic intensities with the Lorentz-polarization factor, no thermal factor.

Largest 10 diffraction maxima, sorted by position, 2θ from 5° to 70°:
| d/Å | two_theta | I (rel.) |
| --- | --- | --- |
| 7.817 | 11.32 | 29.8 |
| 5.339 | 16.60 | 28.5 |
| 3.756 | 23.69 | 52.7 |
| 3.474 | 25.64 | 59.5 |
| 3.408 | 26.15 | 100.0 |
| 3.309 | 26.95 | 53.0 |
| 3.198 | 27.90 | 37.3 |
| 2.575 | 34.85 | 27.9 |
| 2.437 | 36.88 | 27.8 |
| 2.385 | 37.72 | 46.1 |

abc: 15.867 4.767 12.288
angles: 90.00 119.66 90.00
Element x y z (fractional)
Cs 0.110 0.000 0.435
Cs 0.175 0.500 0.782
Cs 0.325 0.000 0.218
Cs 0.390 0.500 0.565
Cs 0.610 0.500 0.435
Cs 0.675 0.000 0.782
Cs 0.825 0.500 0.218
Cs 0.890 0.000 0.565
Rb 0.000 0.000 0.000
Rb 0.500 0.500 0.000
H 0.000 0.500 0.500
H 0.500 0.000 0.500
Au 0.167 0.500 0.255
Au 0.333 0.000 0.745
Au 0.667 0.000 0.255
Au 0.833 0.500 0.745